# CrO2
Calculated PXRD pattern, a wavelength of 1.5418 Å. Input: a DFT-relaxed cell (GGA+U, Alexandria).
Lines closer than 0.1° are merged.

Largest 8 diffraction maxima, in order of rising 2θ, 10° ≤ 2θ ≤ 90°:
- 2θ 18.96, I 100, (0 0 3)
- 2θ 21.50, I 74, (0 1 2)
- 2θ 30.89, I 40, (1 0 4)
- 2θ 35.70, I 83, (0 2 1)
- 2θ 35.97, I 43, (1 1 3)
- 2θ 43.80, I 61, (0 2 4)
- 2θ 62.98, I 36, (2 2 0)
- 2θ 64.38, I 31, (2 0 8)

Crystal structure
a b c (Å): 5.9039 5.9039 14.0449
angles (deg): 90.00 90.00 120.00
Space group R3m (No. 160, hexagonal axes)
Inequivalent atoms, fractional coordinates:
Cr  0.0000  0.0000  0.0000 x3
Cr  0.1754  0.3509  0.2107 x9
O  0.0000  0.0000  0.1338 x3
O  0.0000  0.0000  0.6201 x3
O  0.0016  0.5008  0.6200 x9
O  0.0296  0.5148  0.1443 x9